Starting from the GGA+U geometry in Alexandria, the powder diffractogram of Gd2MnGe4O12 was simulated for Cu Ka.
Peak positions follow from Bragg's law for the DFT cell and can differ from measured ones.

Structural model:
a b c (Å): 10.049 10.049 5.021
angles (deg): 90.00 90.00 91.04
Fractional coordinates of all 38 atoms:
Gd: 0.000 0.500 0.000
Gd: 0.250 0.250 0.000
Gd: 0.500 0.000 0.000
Gd: 0.750 0.750 0.000
Mn: 0.000 0.000 0.000
Mn: 0.500 0.500 0.000
Ge: 0.023 0.755 0.510
Ge: 0.245 0.977 0.510
Ge: 0.255 0.523 0.510
Ge: 0.477 0.745 0.510
Ge: 0.523 0.255 0.490
Ge: 0.745 0.477 0.490
Ge: 0.755 0.023 0.490
Ge: 0.977 0.245 0.490
O: 0.057 0.164 0.230
O: 0.065 0.329 0.742
O: 0.128 0.628 0.671
O: 0.133 0.867 0.331
O: 0.164 0.057 0.770
O: 0.171 0.435 0.258
O: 0.329 0.065 0.258
O: 0.336 0.443 0.770
O: 0.367 0.633 0.331
O: 0.372 0.872 0.671
O: 0.435 0.171 0.742
O: 0.443 0.336 0.230
O: 0.557 0.664 0.770
O: 0.565 0.829 0.258
O: 0.628 0.128 0.329
O: 0.633 0.367 0.669
O: 0.664 0.557 0.230
O: 0.671 0.935 0.742
O: 0.829 0.565 0.742
O: 0.836 0.943 0.230
O: 0.867 0.133 0.669
O: 0.872 0.372 0.329
O: 0.935 0.671 0.258
O: 0.943 0.836 0.770

Main lines, in order of rising 2θ (2θ from 10° to 90°):
2θ (°)  I (rel.)
12.57  38
21.74  54
30.64  100
31.03  90
35.75  63
51.47  50

=====

Starting from the GGA+U geometry in Alexandria, the powder diffractogram of CaV6O11F was simulated for Cu Ka.
Peak positions follow from Bragg's law for the DFT cell and can differ from measured ones.

Structural model:
a b c (Å): 8.658 5.279 5.279
angles (deg): 73.77 90.00 90.00
Fractional coordinates of all 19 atoms:
Ca: 0.000 0.000 0.000
V: 0.000 0.340 0.340
V: 0.195 0.721 0.721
V: 0.326 0.316 0.316
V: 0.500 0.923 0.923
V: 0.674 0.316 0.316
V: 0.805 0.721 0.721
O: 0.000 0.580 0.971
O: 0.000 0.971 0.580
O: 0.172 0.494 0.494
O: 0.185 0.172 0.172
O: 0.339 0.026 0.649
O: 0.339 0.649 0.026
O: 0.500 0.140 0.140
O: 0.661 0.026 0.649
O: 0.661 0.649 0.026
O: 0.815 0.172 0.172
O: 0.828 0.494 0.494
F: 0.500 0.473 0.473

Main lines, in order of rising 2θ (2θ from 10° to 90°):
2θ (°)  I (rel.)
21.04  73
28.16  100
29.55  34
35.81  40
37.76  32
41.28  40